No. 1
This entry pairs a crystal structure of TeWSe2SBr with its theoretical powder XRD pattern. Radiation: Cu Kα X-rays. Structure: a crystal structure in OQMD, relaxed with GGA-PBE.
Neutral-atom scattering factors, no anomalous dispersion.

Most intense lines, 2θ = 5–70°, most intense first:
d (Å), Position (°2θ), intensity, (hkl)
7.058, 12.54, 100.0, 0 1 0
6.565, 13.49, 89.1, 0 1 -1
6.739, 13.14, 80.6, 0 0 1
3.771, 23.60, 37.8, 0 1 -2
2.532, 35.46, 32.0, -2 2 1
3.325, 26.82, 25.1, 1 -2 1
3.089, 28.91, 23.2, 1 2 -2
2.645, 33.89, 21.3, -2 1 2
2.672, 33.54, 20.1, 0 2 1
2.257, 39.95, 19.2, 2 0 1
2.620, 34.23, 18.3, 2 -2 0
2.362, 38.10, 17.2, 2 2 -2

Cell and atoms:
```
12
Lattice="6.4402 0.0000 0.0000 -0.8875 7.9003 0.0000 -3.2154 -3.3893 6.7389" Properties=species:S:1:pos:R:3 pbc="T T T"
Te -0.0016 2.0912 1.0770
Te 2.3389 2.4198 5.6619
W 1.4531 0.0033 0.0035
W 0.8842 4.5077 6.7355
Se -0.8856 6.4262 1.5368
Se -0.8877 3.9026 4.8212
Se 3.2250 0.6084 1.9177
Se 3.2229 -1.9152 5.2022
S -0.8854 2.7204 6.7004
S 3.2226 1.7906 0.0386
Br -0.0065 -0.1387 4.0425
Br 2.3438 4.6497 2.6964
```



No. 2
This entry pairs a crystal structure of TeWSeS2Br with its theoretical powder XRD pattern. Radiation: Cu Kα X-rays. Structure: a crystal structure in OQMD, relaxed with GGA-PBE.
Neutral-atom scattering factors, no anomalous dispersion.

Most intense lines, 2θ = 5–70°, most intense first:
d (Å), Position (°2θ), intensity, (hkl)
6.834, 12.95, 100.0, 0 1 -1
6.991, 12.66, 65.7, 0 0 1
2.595, 34.56, 19.9, 0 2 -3
3.993, 22.27, 18.8, 0 1 -2
2.790, 32.08, 13.1, 2 1 -1
3.404, 26.18, 12.4, 1 -2 0
2.178, 41.46, 11.4, 2 2 -3
1.901, 47.84, 11.0, 0 3 -4
1.918, 47.39, 10.3, 0 4 -1
2.406, 37.37, 10.2, 2 0 1
2.324, 38.75, 9.7, 0 3 0
3.152, 28.31, 9.1, 1 2 -1

Cell and atoms:
```
12
Lattice="6.2984 0.0000 0.0000 -0.8385 7.9300 0.0000 -2.3077 -3.8025 7.0108" Properties=species:S:1:pos:R:3 pbc="T T T"
Te 0.0004 1.7218 1.6183
Te 3.1518 2.4057 5.3925
W -0.8911 -3.8013 7.0085
W 4.8819 -0.0012 0.0023
Se 0.0066 4.7293 5.0651
Se 3.1456 -0.6018 1.9457
S -0.8348 6.2162 0.9919
S 2.3087 6.1090 0.1209
S 0.8435 -1.9815 6.8898
S 3.9871 -2.0887 6.0188
Br 0.0049 0.6664 4.1566
Br 3.1473 3.4611 2.8541
```